Entry 1:
# Cu3Pd
Computed PXRD pattern, Cu Kα (weighted mean of Kα1 and Kα2). Input: a DFT-relaxed cell (PBE, the Materials Project).

Atomic structure:
```
4
Lattice="3.715 0.000 0.000 0.000 3.715 0.000 0.000 0.000 3.715" Properties=species:S:1:pos:R:3 pbc="T T T"
Cu 0.000 0.000 1.857
Cu 0.000 1.857 0.000
Cu 1.857 0.000 0.000
Pd 1.857 1.857 1.857
```

Largest 10 diffraction maxima, by intensity, 2θ = 10–90°:
2θ = 42.13°, rel. 100; 2θ = 49.05°, rel. 47; 2θ = 86.99°, rel. 33; 2θ = 71.89°, rel. 28; 2θ = 23.96°, rel. 5; 2θ = 34.13°, rel. 4; 2θ = 55.30°, rel. 2; 2θ = 61.11°, rel. 2; 2θ = 77.01°, rel. 1; 2θ = 82.03°, rel. 1


Entry 2:
# Pm2CuPd
Computed PXRD pattern, Cu Kα (weighted mean of Kα1 and Kα2). Input: a DFT-relaxed cell (PBE, the Materials Project).

Atomic structure:
```
4
Lattice="0.000 3.584 3.584 3.584 0.000 3.584 3.584 3.584 0.000" Properties=species:S:1:pos:R:3 pbc="T T T"
Pm 1.792 1.792 1.792
Pm 5.376 5.376 5.376
Cu 0.000 0.000 0.000
Pd 3.584 3.584 3.584
```

Largest 11 diffraction maxima, by intensity, 2θ = 10–90°:
2θ = 35.42°, rel. 100; 2θ = 63.59°, rel. 36; 2θ = 50.96°, rel. 18; 2θ = 85.72°, rel. 16; 2θ = 74.94°, rel. 11; 2θ = 24.84°, rel. 7; 2θ = 57.50°, rel. 3; 2θ = 43.75°, rel. 2; 2θ = 21.47°, rel. 2; 2θ = 80.37°, rel. 2; 2θ = 41.79°, rel. 1


Entry 3:
# PrCu3Pd2
Computed PXRD pattern, Cu Kα (weighted mean of Kα1 and Kα2). Input: a DFT-relaxed cell (PBE, the Materials Project).

Atomic structure:
```
6
Lattice="-2.518 2.742 3.641 2.518 -2.742 3.641 2.518 2.742 -3.641" Properties=species:S:1:pos:R:3 pbc="T T T"
Pr 0.000 0.000 0.000
Cu 2.518 0.000 1.859
Cu 1.252 2.742 0.857
Cu 1.265 0.000 4.497
Pd 2.518 1.382 -0.930
Pd 0.000 1.360 2.711
```

Largest 12 diffraction maxima, by intensity, 2θ = 10–90°:
2θ = 39.41°, rel. 100; 2θ = 41.26°, rel. 84; 2θ = 41.36°, rel. 54; 2θ = 34.52°, rel. 47; 2θ = 72.80°, rel. 35; 2θ = 43.71°, rel. 35; 2θ = 40.65°, rel. 29; 2θ = 66.57°, rel. 21; 2θ = 35.66°, rel. 20; 2θ = 64.26°, rel. 14; 2θ = 21.45°, rel. 14; 2θ = 68.44°, rel. 11


Entry 4:
# ScCuPd2
Computed PXRD pattern, Cu Kα (weighted mean of Kα1 and Kα2). Input: a DFT-relaxed cell (PBE, the Materials Project).

Atomic structure:
```
4
Lattice="0.000 3.155 3.155 3.155 0.000 3.155 3.155 3.155 0.000" Properties=species:S:1:pos:R:3 pbc="T T T"
Sc 0.000 0.000 0.000
Cu 3.155 3.155 3.155
Pd 1.577 1.577 1.577
Pd 4.732 4.732 4.732
```

Largest 9 diffraction maxima, by intensity, 2θ = 10–90°:
2θ = 40.43°, rel. 100; 2θ = 73.53°, rel. 32; 2θ = 58.51°, rel. 16; 2θ = 28.29°, rel. 13; 2θ = 87.44°, rel. 10; 2θ = 66.24°, rel. 5; 2θ = 50.08°, rel. 4; 2θ = 24.44°, rel. 1; 2θ = 47.81°, rel. 1


Entry 5:
# Sc2CuPd
Computed PXRD pattern, Cu Kα (weighted mean of Kα1 and Kα2). Input: a DFT-relaxed cell (PBE, the Materials Project).

Atomic structure:
```
4
Lattice="0.000 3.290 3.290 3.290 0.000 3.290 3.290 3.290 0.000" Properties=species:S:1:pos:R:3 pbc="T T T"
Sc 1.645 1.645 1.645
Sc 4.934 4.934 4.934
Cu 0.000 0.000 0.000
Pd 3.290 3.290 3.290
```

Largest 12 diffraction maxima, by intensity, 2θ = 10–90°:
2θ = 38.71°, rel. 100; 2θ = 70.06°, rel. 31; 2θ = 55.90°, rel. 16; 2θ = 27.11°, rel. 14; 2θ = 83.03°, rel. 10; 2θ = 23.42°, rel. 5; 2θ = 63.20°, rel. 5; 2θ = 47.90°, rel. 4; 2θ = 89.34°, rel. 3; 2θ = 45.74°, rel. 3; 2θ = 61.43°, rel. 1; 2θ = 87.77°, rel. 1


Entry 6:
# SmCu4Pd
Computed PXRD pattern, Cu Kα (weighted mean of Kα1 and Kα2). Input: a DFT-relaxed cell (PBE, the Materials Project).

Atomic structure:
```
6
Lattice="2.490 1.438 4.352 -2.490 1.438 4.352 0.000 -2.875 4.352" Properties=species:S:1:pos:R:3 pbc="T T T"
Sm 0.000 0.000 0.000
Cu -1.241 -0.716 6.074
Cu 0.000 0.000 3.031
Cu 1.241 -0.716 6.074
Cu 0.000 1.433 6.074
Pd 0.000 0.000 8.220
```

Largest 12 diffraction maxima, by intensity, 2θ = 10–90°:
2θ = 41.79°, rel. 100; 2θ = 40.38°, rel. 68; 2θ = 36.07°, rel. 50; 2θ = 44.23°, rel. 47; 2θ = 42.48°, rel. 33; 2θ = 67.76°, rel. 28; 2θ = 34.46°, rel. 26; 2θ = 72.65°, rel. 22; 2θ = 68.76°, rel. 22; 2θ = 76.51°, rel. 22; 2θ = 24.74°, rel. 19; 2θ = 41.50°, rel. 16


Entry 7:
# Cu2Sn2Pd
Computed PXRD pattern, Cu Kα (weighted mean of Kα1 and Kα2). Input: a DFT-relaxed cell (PBE, the Materials Project).

Atomic structure:
```
5
Lattice="4.416 0.000 0.000 -2.208 3.824 0.000 0.000 0.000 5.522" Properties=species:S:1:pos:R:3 pbc="T T T"
Cu 0.000 2.550 1.117
Cu 2.208 1.275 4.405
Sn 0.000 2.550 3.889
Sn 2.208 1.275 1.633
Pd 0.000 0.000 0.000
```

Largest 12 diffraction maxima, by intensity, 2θ = 10–90°:
2θ = 40.87°, rel. 100; 2θ = 40.29°, rel. 91; 2θ = 28.39°, rel. 49; 2θ = 74.03°, rel. 30; 2θ = 58.74°, rel. 30; 2θ = 53.11°, rel. 17; 2θ = 74.42°, rel. 17; 2θ = 72.84°, rel. 14; 2θ = 23.26°, rel. 12; 2θ = 32.43°, rel. 12; 2θ = 88.58°, rel. 11; 2θ = 50.51°, rel. 11


Entry 8:
# ThU4Cu20Pd5
Computed PXRD pattern, Cu Kα (weighted mean of Kα1 and Kα2). Input: a DFT-relaxed cell (PBE, the Materials Project).

Atomic structure:
```
30
Lattice="2.505 1.447 20.366 -2.505 1.447 20.366 0.000 -2.893 20.366" Properties=species:S:1:pos:R:3 pbc="T T T"
Th 0.000 0.000 0.000
U 0.000 0.000 12.210
U 0.000 0.000 24.460
U 0.000 0.000 36.629
U 0.000 0.000 48.867
Cu -1.258 -0.726 21.936
Cu 0.000 0.000 7.615
Cu 0.000 -1.422 17.754
Cu -1.231 0.711 17.754
Cu -1.264 -0.730 34.091
Cu 0.000 0.000 19.816
Cu 0.000 -1.439 30.035
Cu -1.246 0.719 30.035
Cu -1.263 -0.729 46.327
Cu 0.000 0.000 32.059
Cu 1.258 -0.726 21.936
Cu 0.000 1.452 21.936
Cu 1.231 0.711 17.754
Cu 0.000 0.000 44.289
Cu 1.264 -0.730 34.091
Cu 0.000 1.460 34.091
Cu 1.246 0.719 30.035
Cu 0.000 0.000 56.470
Cu 1.263 -0.729 46.327
Cu 0.000 1.459 46.327
Pd 0.000 0.000 3.139
Pd 0.000 0.000 15.242
Pd 0.000 0.000 27.469
Pd 0.000 0.000 39.634
Pd 0.000 0.000 51.945
```

Largest 12 diffraction maxima, by intensity, 2θ = 10–90°:
2θ = 42.34°, rel. 100; 2θ = 35.84°, rel. 40; 2θ = 35.95°, rel. 40; 2θ = 42.45°, rel. 33; 2θ = 68.92°, rel. 31; 2θ = 21.75°, rel. 26; 2θ = 64.46°, rel. 22; 2θ = 44.30°, rel. 18; 2θ = 75.96°, rel. 14; 2θ = 76.23°, rel. 14; 2θ = 25.17°, rel. 13; 2θ = 69.06°, rel. 8


Entry 9:
# Tm2CuPd
Computed PXRD pattern, Cu Kα (weighted mean of Kα1 and Kα2). Input: a DFT-relaxed cell (PBE, the Materials Project).

Atomic structure:
```
4
Lattice="0.000 3.442 3.442 3.442 0.000 3.442 3.442 3.442 0.000" Properties=species:S:1:pos:R:3 pbc="T T T"
Tm 1.721 1.721 1.721
Tm 5.163 5.163 5.163
Cu 0.000 0.000 0.000
Pd 3.442 3.442 3.442
```

Largest 10 diffraction maxima, by intensity, 2θ = 10–90°:
2θ = 36.93°, rel. 100; 2θ = 66.54°, rel. 35; 2θ = 53.22°, rel. 17; 2θ = 25.88°, rel. 12; 2θ = 78.61°, rel. 11; 2θ = 60.10°, rel. 5; 2θ = 45.65°, rel. 4; 2θ = 84.42°, rel. 3; 2θ = 22.37°, rel. 1; 2θ = 43.60°, rel. 1


Entry 10:
# UCu3Pd2
Computed PXRD pattern, Cu Kα (weighted mean of Kα1 and Kα2). Input: a DFT-relaxed cell (PBE, the Materials Project).

Atomic structure:
```
6
Lattice="-2.472 2.689 3.596 2.472 -2.689 3.596 2.472 2.689 -3.596" Properties=species:S:1:pos:R:3 pbc="T T T"
U 0.000 0.000 0.000
Cu 2.472 0.000 1.818
Cu 1.230 2.689 0.856
Cu 1.242 0.000 4.452
Pd 2.472 1.349 -0.924
Pd 0.000 1.340 2.672
```

Largest 12 diffraction maxima, by intensity, 2θ = 10–90°:
2θ = 40.18°, rel. 100; 2θ = 41.91°, rel. 80; 2θ = 35.08°, rel. 66; 2θ = 42.15°, rel. 60; 2θ = 74.13°, rel. 35; 2θ = 41.23°, rel. 32; 2θ = 44.47°, rel. 28; 2θ = 36.34°, rel. 24; 2θ = 24.46°, rel. 23; 2θ = 67.97°, rel. 21; 2θ = 20.62°, rel. 21; 2θ = 21.81°, rel. 17


Entry 11:
# UCu4Pd
Computed PXRD pattern, Cu Kα (weighted mean of Kα1 and Kα2). Input: a DFT-relaxed cell (PBE, the Materials Project).

Atomic structure:
```
6
Lattice="0.000 3.525 3.525 3.525 0.000 3.525 3.525 3.525 0.000" Properties=species:S:1:pos:R:3 pbc="T T T"
U 0.000 0.000 0.000
Cu 2.649 2.649 2.649
Cu 4.401 4.401 2.649
Cu 4.401 2.649 4.401
Cu 2.649 4.401 4.401
Pd 5.287 5.287 5.287
```

Largest 12 diffraction maxima, by intensity, 2θ = 10–90°:
2θ = 42.53°, rel. 100; 2θ = 36.03°, rel. 60; 2θ = 69.25°, rel. 31; 2θ = 64.78°, rel. 22; 2θ = 76.43°, rel. 22; 2θ = 21.84°, rel. 20; 2θ = 44.52°, rel. 18; 2θ = 87.51°, rel. 11; 2θ = 25.27°, rel. 9; 2θ = 56.93°, rel. 6; 2θ = 80.62°, rel. 5; 2θ = 58.55°, rel. 4


Entry 12:
# Pm3Cu
Computed PXRD pattern, Cu Kα (weighted mean of Kα1 and Kα2). Input: a DFT-relaxed cell (PBE, the Materials Project).

Atomic structure:
```
4
Lattice="-2.339 2.339 5.054 2.339 -2.339 5.054 2.339 2.339 -5.054" Properties=species:S:1:pos:R:3 pbc="T T T"
Pm 0.000 0.000 0.000
Pm 2.339 0.000 2.527
Pm 0.000 2.339 2.527
Cu 0.000 0.000 5.054
```

Largest 12 diffraction maxima, by intensity, 2θ = 10–90°:
2θ = 32.35°, rel. 100; 2θ = 38.49°, rel. 31; 2θ = 65.78°, rel. 25; 2θ = 53.38°, rel. 24; 2θ = 35.52°, rel. 19; 2θ = 87.82°, rel. 18; 2θ = 61.80°, rel. 15; 2θ = 67.71°, rel. 12; 2θ = 55.57°, rel. 11; 2θ = 20.93°, rel. 7; 2θ = 82.49°, rel. 3; 2θ = 17.55°, rel. 3


Entry 13:
# PmCu3
Computed PXRD pattern, Cu Kα (weighted mean of Kα1 and Kα2). Input: a DFT-relaxed cell (PBE, the Materials Project).

Atomic structure:
```
8
Lattice="6.198 0.000 0.000 -3.099 5.368 0.000 0.000 0.000 4.306" Properties=species:S:1:pos:R:3 pbc="T T T"
Pm 0.000 3.578 1.076
Pm 3.099 1.789 3.229
Cu 0.000 1.447 3.229
Cu -1.845 4.644 3.229
Cu 1.253 0.724 1.076
Cu 1.845 4.644 3.229
Cu 4.944 0.724 1.076
Cu 3.099 3.920 1.076
```

Largest 12 diffraction maxima, by intensity, 2θ = 10–90°:
2θ = 39.57°, rel. 100; 2θ = 26.54°, rel. 31; 2θ = 33.39°, rel. 25; 2θ = 41.96°, rel. 22; 2θ = 28.81°, rel. 15; 2θ = 44.67°, rel. 14; 2θ = 75.05°, rel. 14; 2θ = 66.45°, rel. 13; 2θ = 59.67°, rel. 13; 2θ = 75.61°, rel. 13; 2θ = 54.65°, rel. 12; 2θ = 62.95°, rel. 10


Entry 14:
# Pm2CuRu
Computed PXRD pattern, Cu Kα (weighted mean of Kα1 and Kα2). Input: a DFT-relaxed cell (PBE, the Materials Project).

Atomic structure:
```
4
Lattice="0.000 3.492 3.492 3.492 0.000 3.492 3.492 3.492 0.000" Properties=species:S:1:pos:R:3 pbc="T T T"
Pm 1.746 1.746 1.746
Pm 5.238 5.238 5.238
Cu 0.000 0.000 0.000
Ru 3.492 3.492 3.492
```

Largest 11 diffraction maxima, by intensity, 2θ = 10–90°:
2θ = 36.38°, rel. 100; 2θ = 65.47°, rel. 35; 2θ = 52.40°, rel. 17; 2θ = 88.55°, rel. 16; 2θ = 77.28°, rel. 11; 2θ = 25.51°, rel. 8; 2θ = 59.16°, rel. 4; 2θ = 44.96°, rel. 3; 2θ = 82.95°, rel. 2; 2θ = 22.04°, rel. 1; 2θ = 42.95°, rel. 1


Entry 15:
# Pm2CuSn
Computed PXRD pattern, Cu Kα (weighted mean of Kα1 and Kα2). Input: a DFT-relaxed cell (PBE, the Materials Project).

Atomic structure:
```
4
Lattice="0.000 3.731 3.731 3.731 0.000 3.731 3.731 3.731 0.000" Properties=species:S:1:pos:R:3 pbc="T T T"
Pm 1.865 1.865 1.865
Pm 5.596 5.596 5.596
Cu 0.000 0.000 0.000
Sn 3.731 3.731 3.731
```

Largest 12 diffraction maxima, by intensity, 2θ = 10–90°:
2θ = 33.98°, rel. 100; 2θ = 60.82°, rel. 37; 2θ = 48.82°, rel. 18; 2θ = 81.60°, rel. 16; 2θ = 71.53°, rel. 11; 2θ = 23.85°, rel. 6; 2θ = 20.62°, rel. 3; 2θ = 55.04°, rel. 2; 2θ = 41.94°, rel. 2; 2θ = 40.08°, rel. 2; 2θ = 76.62°, rel. 1; 2θ = 53.53°, rel. 1